[1]
Structure and computed XRD peak list of Li3MnCoO5 (DFT lattice parameters and positions (PBE+U); Cu Kα).
Intensities are scaled so that the largest is 100.

Cell: 12.1548 12.1548 5.1634 Å, 93.12 93.12 13.65°
Atoms (fractional coordinates):
1 Li 0.0000 0.0000 0.0000
2 Li 0.2010 0.2010 0.3940
3 Li 0.4096 0.4096 0.8140
4 Li 0.5046 0.5046 0.4960
5 Li 0.5981 0.5981 0.2042
6 Li 0.8073 0.8073 0.5991
7 Mn 0.1012 0.1012 0.6826
8 Mn 0.3038 0.3038 0.1090
9 Co 0.7031 0.7031 0.8959
10 Co 0.9124 0.9124 0.3341
11 O 0.0587 0.0587 0.3807
12 O 0.1565 0.1565 0.0110
13 O 0.2518 0.2518 0.7881
14 O 0.3510 0.3510 0.4131
15 O 0.4504 0.4504 0.1561
16 O 0.5612 0.5612 0.8353
17 O 0.6501 0.6501 0.5565
18 O 0.7580 0.7580 0.2451
19 O 0.8453 0.8453 0.9657
20 O 0.9493 0.9493 0.6421

Main lines, low angle first (2θ = 10–90°):
Position (°2θ)	d (Å)	intensity
18.3	4.837	100
36.2	2.478	25
42.7	2.117	29
43.9	2.060	58
62.9	1.479	15
63.0	1.475	14


[2]
Structure and computed XRD peak list of Li7Mn2Co3O12 (DFT lattice parameters and positions (PBE+U); Cu Kα).
Intensities are scaled so that the largest is 100.

Cell: 7.8813 7.8813 10.2466 Å, 111.02 111.02 21.51°
Atoms (fractional coordinates):
1 Li 0.0000 0.0000 0.0000
2 Li 0.1620 0.1620 0.9252
3 Li 0.1643 0.1643 0.4010
4 Li 0.4998 0.4998 0.2288
5 Li 0.5005 0.5005 0.7572
6 Li 0.8356 0.8356 0.5692
7 Li 0.8366 0.8366 0.0797
8 Mn 0.3382 0.3382 0.8345
9 Mn 0.6648 0.6648 0.6587
10 Co 0.3234 0.3234 0.3183
11 Co 0.6531 0.6531 0.1493
12 Co 0.9908 0.9908 0.4812
13 O 0.0858 0.0858 0.2021
14 O 0.0930 0.0930 0.6959
15 O 0.2407 0.2407 0.6293
16 O 0.2534 0.2534 0.1293
17 O 0.4076 0.4076 0.0177
18 O 0.4189 0.4189 0.5316
19 O 0.5836 0.5836 0.4707
20 O 0.5889 0.5889 0.9598
21 O 0.7514 0.7514 0.3644
22 O 0.7556 0.7556 0.8536
23 O 0.9031 0.9031 0.7864
24 O 0.9186 0.9186 0.2943

Main lines, low angle first (2θ = 10–90°):
Position (°2θ)	d (Å)	intensity
18.2	4.882	100
35.8	2.509	27
43.1	2.100	59
44.1	2.052	26
63.0	1.476	15
63.8	1.459	15


[3]
Structure and computed XRD peak list of Li2MnCoO4 (DFT lattice parameters and positions (PBE+U); Cu Kα).
Intensities are scaled so that the largest is 100.

Cell: 5.1092 2.9173 5.2123 Å, 90.00 110.08 90.00°
Atoms (fractional coordinates):
1 Li 0.0000 0.0000 0.0000
2 Li 0.0000 0.5000 0.5000
3 Mn 0.5000 0.0000 0.5000
4 Co 0.5000 0.5000 0.0000
5 O 0.2697 0.5000 0.2799
6 O 0.2798 0.0000 0.7369
7 O 0.7202 0.0000 0.2631
8 O 0.7303 0.5000 0.7201

Main lines, low angle first (2θ = 10–90°):
Position (°2θ)	d (Å)	intensity
18.5	4.799	100
35.0	2.566	15
35.8	2.506	28
42.8	2.114	27
43.6	2.077	52
62.2	1.493	15


[4]
Structure and computed XRD peak list of Li7Mn2Co3O12 (DFT lattice parameters and positions (PBE+U); Cu Kα).
Intensities are scaled so that the largest is 100.

Cell: 2.9790 7.6243 9.7582 Å, 91.60 97.37 99.89°
Atoms (fractional coordinates):
1 Li 0.0000 0.0000 0.0000
2 Li 0.0779 0.4170 0.7405
3 Li 0.2148 0.2361 0.2332
4 Li 0.3927 0.0724 0.7456
5 Li 0.5599 0.9178 0.2291
6 Li 0.7355 0.7448 0.7429
7 Li 0.9127 0.5814 0.2428
8 Mn 0.6432 0.3229 0.9905
9 Mn 0.8168 0.1624 0.4906
10 Co 0.1452 0.8270 0.4905
11 Co 0.3201 0.6758 0.9854
12 Co 0.4891 0.4976 0.4895
13 O 0.0477 0.2215 0.8804
14 O 0.1018 0.6270 0.6056
15 O 0.1490 0.0281 0.3733
16 O 0.2520 0.4509 0.0916
17 O 0.3499 0.8502 0.8741
18 O 0.4861 0.2962 0.6085
19 O 0.5329 0.6985 0.3740
20 O 0.6155 0.1389 0.1085
21 O 0.6642 0.5389 0.8790
22 O 0.7581 0.9582 0.6077
23 O 0.8818 0.3697 0.3762
24 O 0.9633 0.7687 0.1034

Main lines, low angle first (2θ = 10–90°):
Position (°2θ)	d (Å)	intensity
18.4	4.832	100
35.0	2.563	17
36.0	2.494	13
42.1	2.146	33
43.7	2.072	29
44.7	2.026	26